(1)
The following is a calculated X-ray powder pattern of TbMn2. It was derived from a GGA-PBE-relaxed structure, using CuKα.
Neutral-atom scattering factors, no anomalous dispersion.

Largest 8 diffraction maxima, by angle, 2θ from 10° to 90°:
d (Å)  2θ (°)  I_rel  h k l
4.190  21.21  19  1 1 1
2.566  34.97  70  2 2 0
2.188  41.26  100  3 1 1
2.095  43.19  13  2 2 2
1.481  62.73  26  4 2 2
1.397  67.01  30  5 1 1
1.283  73.88  22  4 4 0
1.147  84.43  12  6 2 0

Structure:
Lattice parameters (Å, degrees): 7.256 7.256 7.256 90.00 90.00 90.00
Space group Fd-3m (No. 227, origin choice 2)
One atom of each set of equivalent atoms:
Tb (0.125, 0.125, 0.125)
Mn (0.000, 0.000, 0.500)

---

(2)
The following is a calculated X-ray powder pattern of BaMg6Zn. It was derived from a GGA-PBE-relaxed structure, using CuKα.
Neutral-atom scattering factors, no anomalous dispersion.

Largest 8 diffraction maxima, by angle, 2θ from 10° to 90°:
d (Å)  2θ (°)  I_rel  h k l
6.071  14.59  50  0 1 1
3.891  22.86  49  1 0 2
3.033  29.45  28  0 0 4
2.881  31.04  22  1 1 3
2.604  34.45  100  1 2 2
2.537  35.39  22  2 0 0
1.946  46.68  15  2 0 4
1.477  62.92  17  3 2 2

Structure:
Lattice parameters (Å, degrees): 5.073 7.020 12.108 90.00 90.00 90.00
Space group Amm2 (No. 38)
One atom of each set of equivalent atoms:
Ba (0.000, 0.000, 0.000)
Mg (0.000, 0.000, 0.489)
Mg (0.000, 0.238, 0.247)
Mg (0.500, 0.000, 0.660)
Mg (0.500, 0.218, 0.394)
Zn (0.500, 0.000, 0.184)

---

(3)
The following is a calculated X-ray powder pattern of InPt3. It was derived from a GGA-PBE-relaxed structure, using CuKα.
Neutral-atom scattering factors, no anomalous dispersion.

Largest 8 diffraction maxima, by angle, 2θ from 10° to 90°:
d (Å)  2θ (°)  I_rel  h k l
4.054  21.92  3  1 0 0
2.867  31.20  3  1 1 0
2.341  38.46  100  1 1 1
2.027  44.71  49  2 0 0
1.813  50.33  2  2 1 0
1.433  65.07  32  2 2 0
1.222  78.20  39  3 1 1
1.170  82.40  11  2 2 2

Structure:
Lattice parameters (Å, degrees): 4.054 4.054 4.054 90.00 90.00 90.00
Space group Pm-3m (No. 221)
One atom of each set of equivalent atoms:
In (0.000, 0.000, 0.000)
Pt (0.000, 0.500, 0.500)

---

(4)
The following is a calculated X-ray powder pattern of Sc6Pb5. It was derived from a GGA-PBE-relaxed structure, using CuKα.
Neutral-atom scattering factors, no anomalous dispersion.

Largest 8 diffraction maxima, by angle, 2θ from 10° to 90°:
d (Å)  2θ (°)  I_rel  h k l
4.093  21.71  56  2 2 0
3.594  24.77  58  2 1 1
3.578  24.88  53  1 5 0
3.535  25.19  100  1 4 1
2.918  30.63  46  1 1 2
2.687  33.34  59  1 3 2
2.664  33.64  71  1 7 0
2.610  34.36  70  3 2 1

Structure:
Lattice parameters (Å, degrees): 9.020 19.491 6.248 90.00 90.00 90.00
Space group Ibam (No. 72)
One atom of each set of equivalent atoms:
Sc (0.000, 0.195, 0.250)
Sc (0.110, 0.357, 0.000)
Sc (0.234, 0.060, 0.000)
Pb (0.000, 0.500, 0.250)
Pb (0.102, 0.075, 0.500)
Pb (0.197, 0.293, 0.500)

---

(5)
The following is a calculated X-ray powder pattern of KRb2BiF6. It was derived from a GGA-PBE-relaxed structure, using CuKα.
Neutral-atom scattering factors, no anomalous dispersion.

Largest 8 diffraction maxima, by angle, 2θ from 10° to 90°:
d (Å)  2θ (°)  I_rel  h k l
5.560  15.94  43  1 1 1
3.404  26.18  100  2 2 0
2.903  30.80  24  3 1 1
2.407  37.35  39  4 0 0
1.966  46.18  43  4 2 2
1.702  53.86  25  4 4 0
1.523  60.84  20  6 2 0
1.287  73.61  23  6 4 2

Structure:
Lattice parameters (Å, degrees): 9.629 9.629 9.629 90.00 90.00 90.00
Space group Fm-3m (No. 225)
One atom of each set of equivalent atoms:
K (0.000, 0.000, 0.000)
Rb (0.250, 0.250, 0.250)
Bi (0.000, 0.000, 0.500)
F (0.000, 0.000, 0.264)

---

(6)
The following is a calculated X-ray powder pattern of MgSnO2. It was derived from a GGA-PBE-relaxed structure, using CuKα.
Neutral-atom scattering factors, no anomalous dispersion.

Largest 8 diffraction maxima, by angle, 2θ from 10° to 90°:
d (Å)  2θ (°)  I_rel  h k l
6.403  13.83  35  0 1 -1
4.057  21.91  87  0 1 -2
3.044  29.34  100  0 2 2
2.910  30.72  44  0 3 0
2.809  31.86  54  0 3 -1
2.778  32.22  82  1 -1 1
2.758  32.46  41  1 0 -2
2.473  36.33  37  1 2 0

Structure:
Lattice parameters (Å, degrees): 3.190 8.760 9.016 92.34 97.64 93.77
Space group P-1 (No. 2)
One atom of each set of equivalent atoms:
Mg (0.068, 0.244, 0.050)
Mg (0.422, 0.421, 0.759)
Sn (0.017, 0.679, 0.599)
Sn (0.444, 0.056, 0.735)
O (0.037, 0.050, 0.158)
O (0.134, 0.567, 0.377)
O (0.389, 0.641, 0.815)
O (0.481, 0.748, 0.106)

---

(7)
The following is a calculated X-ray powder pattern of SmY3. It was derived from a GGA-PBE-relaxed structure, using CuKα.
Neutral-atom scattering factors, no anomalous dispersion.

Largest 8 diffraction maxima, by angle, 2θ from 10° to 90°:
d (Å)  2θ (°)  I_rel  h k l
2.936  30.45  100  1 1 2
2.542  35.30  50  2 0 0
1.798  50.79  35  2 2 0
1.533  60.38  41  3 1 2
1.468  63.36  12  2 2 4
1.271  74.67  5  4 0 0
1.167  82.73  17  3 3 2
1.137  85.38  15  4 2 0

Structure:
Lattice parameters (Å, degrees): 5.084 5.084 10.174 90.00 90.00 90.00
Space group I4/mmm (No. 139)
One atom of each set of equivalent atoms:
Sm (0.000, 0.000, 0.000)
Y (0.000, 0.000, 0.500)
Y (0.000, 0.500, 0.250)

---

(8)
The following is a calculated X-ray powder pattern of AlReSi. It was derived from a GGA-PBE-relaxed structure, using CuKα.
Neutral-atom scattering factors, no anomalous dispersion.

Largest 8 diffraction maxima, by angle, 2θ from 10° to 90°:
d (Å)  2θ (°)  I_rel  h k l
4.033  22.04  56  0 0 2
2.974  30.05  100  1 0 1
2.262  39.84  57  1 1 0
2.058  43.99  85  1 0 3
1.973  46.00  34  1 1 2
1.600  57.62  19  2 0 0
1.409  66.35  22  2 1 1
1.263  75.22  35  2 1 3

Structure:
Lattice parameters (Å, degrees): 3.200 3.200 8.066 90.00 90.00 90.00
Space group I4mm (No. 107)
One atom of each set of equivalent atoms:
Al (0.000, 0.000, 0.000)
Re (0.000, 0.000, 0.326)
Si (0.000, 0.000, 0.674)

---

(9)
The following is a calculated X-ray powder pattern of Dy4Ni. It was derived from a GGA-PBE-relaxed structure, using CuKα.
Neutral-atom scattering factors, no anomalous dispersion.

Largest 8 diffraction maxima, by angle, 2θ from 10° to 90°:
d (Å)  2θ (°)  I_rel  h k l
3.057  29.22  100  2 2 2
2.647  33.86  40  4 0 0
2.429  37.01  11  3 3 1
2.038  44.46  14  5 1 1
1.872  48.65  40  4 4 0
1.596  57.76  36  6 2 2
1.215  78.80  12  6 6 2
1.184  81.27  8  8 4 0

Structure:
Lattice parameters (Å, degrees): 10.588 10.588 10.588 90.00 90.00 90.00
Space group Fd-3m (No. 227, origin choice 2)
One atom of each set of equivalent atoms:
Dy (0.012, 0.012, 0.238)
Ni (0.125, 0.125, 0.625)

---

(10)
The following is a calculated X-ray powder pattern of UHgO3. It was derived from a GGA-PBE-relaxed structure, using CuKα.
Neutral-atom scattering factors, no anomalous dispersion.

Largest 8 diffraction maxima, by angle, 2θ from 10° to 90°:
d (Å)  2θ (°)  I_rel  h k l
4.289  20.71  1  1 0 0
3.033  29.45  100  1 1 0
2.145  42.14  26  2 0 0
1.751  52.24  43  2 1 1
1.516  61.11  17  2 2 0
1.356  69.27  19  3 1 0
1.238  77.02  6  2 2 2
1.146  84.52  24  3 2 1

Structure:
Lattice parameters (Å, degrees): 4.289 4.289 4.289 90.00 90.00 90.00
Space group Pm-3m (No. 221)
One atom of each set of equivalent atoms:
U (0.000, 0.000, 0.000)
Hg (0.500, 0.500, 0.500)
O (0.000, 0.000, 0.500)

---

(11)
The following is a calculated X-ray powder pattern of TbAl8Ni3. It was derived from a GGA-PBE-relaxed structure, using CuKα.
Neutral-atom scattering factors, no anomalous dispersion.

Largest 8 diffraction maxima, by angle, 2θ from 10° to 90°:
d (Å)  2θ (°)  I_rel  h k l
7.452  11.88  64  0 0 2
4.981  17.81  40  1 0 2
3.349  26.62  38  2 0 0
2.802  31.93  69  1 1 3
2.514  35.71  100  2 1 1
2.329  38.66  52  1 0 6
2.240  40.27  70  1 1 5
1.969  46.11  38  0 2 0

Structure:
Lattice parameters (Å, degrees): 6.698 3.937 14.903 90.00 90.00 90.00
Space group Amm2 (No. 38)
One atom of each set of equivalent atoms:
Tb (0.000, 0.000, 0.000)
Al (0.000, 0.000, 0.198)
Al (0.210, 0.000, 0.805)
Al (0.271, 0.000, 0.630)
Al (0.308, 0.000, 0.434)
Al (0.500, 0.000, 0.058)
Ni (0.000, 0.000, 0.354)
Ni (0.500, 0.000, 0.246)
Ni (0.500, 0.000, 0.897)

---

Which formula does entry 10 have? UHgO3